Diffraction record for Mg2ZnSi2Pt5. The X-ray powder pattern is theoretical, not measured: it uses a GGA-PBE-relaxed structure and Cu Kα X-rays.
Intensities are scaled so that the largest is 100.

Crystal structure
Cell lengths 9.385, 9.385, 3.583 Å; angles 90.00, 90.00, 90.00 degrees
Sites, in units of the cell vectors:
Mg: 0.170 0.330 0.000
Mg: 0.330 0.830 0.000
Mg: 0.670 0.170 0.000
Mg: 0.830 0.670 0.000
Zn: 0.000 0.000 0.000
Zn: 0.500 0.500 0.000
Si: 0.130 0.630 0.000
Si: 0.370 0.130 0.000
Si: 0.630 0.870 0.000
Si: 0.870 0.370 0.000
Pt: 0.000 0.500 0.500
Pt: 0.075 0.798 0.500
Pt: 0.202 0.075 0.500
Pt: 0.298 0.575 0.500
Pt: 0.425 0.298 0.500
Pt: 0.500 0.000 0.500
Pt: 0.575 0.702 0.500
Pt: 0.702 0.425 0.500
Pt: 0.798 0.925 0.500
Pt: 0.925 0.202 0.500

Top 12 peaks for 2θ from 5° to 70°, sorted by position:
2θ 21.17, rel. 31; 2θ 24.85, rel. 76; 2θ 30.11, rel. 31; 2θ 32.86, rel. 19; 2θ 34.45, rel. 30; 2θ 39.42, rel. 100; 2θ 39.59, rel. 46; 2θ 42.94, rel. 48; 2θ 43.10, rel. 25; 2θ 47.31, rel. 42; 2θ 50.97, rel. 24; 2θ 66.40, rel. 20